Entry 1:
PrNd2Au6: calculated powder diffraction line list (λ = 1.5418 Å (Cu Kα)), based on a PBE-relaxed structure.
Intensities are scaled so that the largest is 100.

Cell lengths 8.6108, 8.6108, 8.6108 Å; angles 154.67, 126.26, 60.31 degrees
Fractional positions:
Pr 0.0000 0.0000 0.0000
Nd 0.3587 0.8587 0.5000
Nd 0.6413 0.1413 0.5000
Au 0.0092 0.3239 0.6853
Au 0.3163 0.5000 0.8163
Au 0.3614 0.6761 0.6853
Au 0.6386 0.3239 0.3147
Au 0.6837 0.5000 0.1837
Au 0.9908 0.6761 0.3147

Top 12 peaks for 2θ from 5° to 70°, by angle:
- 2θ = 24.32°, I = 27
- 2θ = 28.89°, I = 59
- 2θ = 33.62°, I = 93
- 2θ = 35.78°, I = 48
- 2θ = 36.19°, I = 57
- 2θ = 38.50°, I = 39
- 2θ = 39.18°, I = 100
- 2θ = 44.07°, I = 27
- 2θ = 45.24°, I = 33
- 2θ = 48.20°, I = 32
- 2θ = 61.74°, I = 25
- 2θ = 63.79°, I = 48

---

Entry 2:
Pr2Nd2Au3: calculated powder diffraction line list (λ = 1.5418 Å (Cu Kα)), based on a PBE-relaxed structure.
Intensities are scaled so that the largest is 100.

Cell lengths 8.0213, 8.0213, 8.0213 Å; angles 109.47, 109.47, 109.47 degrees
Fractional positions:
Pr 0.0000 0.1397 0.5000
Pr 0.1397 0.5000 0.0000
Pr 0.3603 0.3603 0.3603
Pr 0.5000 0.0000 0.1397
Nd 0.0000 0.6385 0.5000
Nd 0.5000 0.0000 0.6385
Nd 0.6385 0.5000 0.0000
Nd 0.8615 0.8615 0.8615
Au 0.1222 0.8722 0.2500
Au 0.2500 0.1222 0.8722
Au 0.3778 0.6278 0.7500
Au 0.6278 0.7500 0.3778
Au 0.7500 0.3778 0.6278
Au 0.8722 0.2500 0.1222

Top 12 peaks for 2θ from 5° to 70°, by angle:
- 2θ = 23.53°, I = 12
- 2θ = 30.52°, I = 100
- 2θ = 36.29°, I = 62
- 2θ = 43.71°, I = 19
- 2θ = 45.96°, I = 14
- 2θ = 48.13°, I = 12
- 2θ = 50.23°, I = 21
- 2θ = 54.24°, I = 2
- 2θ = 61.74°, I = 29
- 2θ = 63.53°, I = 11
- 2θ = 65.29°, I = 14
- 2θ = 68.74°, I = 3

---

Entry 3:
PrNd3Au7: calculated powder diffraction line list (λ = 1.5418 Å (Cu Kα)), based on a PBE-relaxed structure.
Intensities are scaled so that the largest is 100.

Cell lengths 11.6249, 11.6249, 12.6955 Å; angles 90.00, 90.00, 160.83 degrees
Fractional positions:
Pr 0.0043 0.9957 0.7500
Pr 0.9957 0.0043 0.2500
Nd 0.1441 0.8559 0.0613
Nd 0.1441 0.8559 0.4387
Nd 0.1859 0.8141 0.7500
Nd 0.8141 0.1859 0.2500
Nd 0.8559 0.1441 0.5613
Nd 0.8559 0.1441 0.9387
Au 0.2784 0.7216 0.0685
Au 0.2784 0.7216 0.4315
Au 0.3819 0.6181 0.7500
Au 0.4018 0.5982 0.1338
Au 0.4018 0.5982 0.3662
Au 0.4597 0.5403 0.5744
Au 0.4597 0.5403 0.9256
Au 0.5403 0.4597 0.0744
Au 0.5403 0.4597 0.4256
Au 0.5982 0.4018 0.6338
Au 0.5982 0.4018 0.8662
Au 0.6181 0.3819 0.2500
Au 0.7216 0.2784 0.5685
Au 0.7216 0.2784 0.9315

Top 12 peaks for 2θ from 5° to 70°, by angle:
- 2θ = 23.30°, I = 38
- 2θ = 31.56°, I = 100
- 2θ = 33.42°, I = 67
- 2θ = 35.92°, I = 34
- 2θ = 36.82°, I = 32
- 2θ = 37.92°, I = 60
- 2θ = 38.75°, I = 34
- 2θ = 41.95°, I = 42
- 2θ = 42.74°, I = 34
- 2θ = 44.28°, I = 32
- 2θ = 46.94°, I = 39
- 2θ = 61.86°, I = 30

---

Entry 4:
PrNdTe2Au: calculated powder diffraction line list (λ = 1.5418 Å (Cu Kα)), based on a PBE-relaxed structure.
Intensities are scaled so that the largest is 100.

Cell lengths 4.4289, 4.4289, 15.4206 Å; angles 90.00, 90.00, 90.00 degrees
Fractional positions:
Pr 0.2500 0.2500 0.1442
Pr 0.7500 0.7500 0.8558
Nd 0.2500 0.2500 0.5879
Nd 0.7500 0.7500 0.4121
Te 0.2500 0.2500 0.3783
Te 0.2500 0.2500 0.7981
Te 0.7500 0.7500 0.2019
Te 0.7500 0.7500 0.6217
Au 0.2500 0.7500 0.0000
Au 0.7500 0.2500 0.0000

Top 12 peaks for 2θ from 5° to 70°, by angle:
- 2θ = 5.73°, I = 76
- 2θ = 28.50°, I = 47
- 2θ = 28.95°, I = 55
- 2θ = 29.10°, I = 64
- 2θ = 30.80°, I = 64
- 2θ = 33.51°, I = 59
- 2θ = 35.47°, I = 36
- 2θ = 36.98°, I = 100
- 2θ = 40.75°, I = 85
- 2θ = 50.75°, I = 50
- 2θ = 58.99°, I = 29
- 2θ = 67.06°, I = 32

---

Entry 5:
Nd4PtAu: calculated powder diffraction line list (λ = 1.5418 Å (Cu Kα)), based on a PBE-relaxed structure.
Intensities are scaled so that the largest is 100.

Cell lengths 8.5565, 4.9870, 16.2814 Å; angles 90.00, 90.00, 90.00 degrees
Fractional positions:
Nd 0.0359 0.2500 0.0718
Nd 0.0730 0.2500 0.7841
Nd 0.1265 0.2500 0.3404
Nd 0.1579 0.2500 0.5698
Nd 0.3421 0.7500 0.0698
Nd 0.3735 0.7500 0.8404
Nd 0.4270 0.7500 0.2841
Nd 0.4641 0.7500 0.5718
Nd 0.5359 0.2500 0.4282
Nd 0.5730 0.2500 0.7159
Nd 0.6265 0.2500 0.1596
Nd 0.6579 0.2500 0.9302
Nd 0.8421 0.7500 0.4302
Nd 0.8735 0.7500 0.6596
Nd 0.9270 0.7500 0.2159
Nd 0.9641 0.7500 0.9282
Pt 0.2025 0.7500 0.6906
Pt 0.2975 0.2500 0.1906
Pt 0.7025 0.7500 0.8094
Pt 0.7975 0.2500 0.3094
Au 0.2177 0.7500 0.4382
Au 0.2823 0.2500 0.9382
Au 0.7177 0.7500 0.0618
Au 0.7823 0.2500 0.5618

Top 12 peaks for 2θ from 5° to 70°, by angle:
- 2θ = 27.47°, I = 20
- 2θ = 30.21°, I = 100
- 2θ = 31.85°, I = 38
- 2θ = 32.12°, I = 86
- 2θ = 32.85°, I = 35
- 2θ = 36.02°, I = 62
- 2θ = 38.54°, I = 37
- 2θ = 39.18°, I = 22
- 2θ = 42.75°, I = 21
- 2θ = 44.52°, I = 18
- 2θ = 48.84°, I = 23
- 2θ = 53.78°, I = 29

---

Entry 6:
NdPt2Au8: calculated powder diffraction line list (λ = 1.5418 Å (Cu Kα)), based on a PBE-relaxed structure.
Intensities are scaled so that the largest is 100.

Cell lengths 7.3817, 7.3817, 4.2138 Å; angles 90.00, 90.00, 108.20 degrees
Fractional positions:
Nd 0.0000 0.0000 0.0000
Pt 0.3874 0.6126 0.5000
Pt 0.6126 0.3874 0.5000
Au 0.0374 0.3164 0.5000
Au 0.2489 0.7511 0.0000
Au 0.3164 0.0374 0.5000
Au 0.3353 0.3353 0.0000
Au 0.6647 0.6647 0.0000
Au 0.6836 0.9626 0.5000
Au 0.7511 0.2489 0.0000
Au 0.9626 0.6836 0.5000

Top 12 peaks for 2θ from 5° to 70°, by angle:
- 2θ = 29.59°, I = 7
- 2θ = 33.24°, I = 19
- 2θ = 36.86°, I = 85
- 2θ = 38.54°, I = 100
- 2θ = 42.93°, I = 30
- 2θ = 49.50°, I = 12
- 2θ = 49.76°, I = 6
- 2θ = 50.40°, I = 6
- 2θ = 59.02°, I = 21
- 2θ = 62.09°, I = 8
- 2θ = 64.60°, I = 9
- 2θ = 67.51°, I = 23

---

Entry 7:
NdRh4Au: calculated powder diffraction line list (λ = 1.5418 Å (Cu Kα)), based on a PBE-relaxed structure.
Intensities are scaled so that the largest is 100.

Cell lengths 5.3060, 5.3060, 5.3060 Å; angles 60.00, 60.00, 60.00 degrees
Fractional positions:
Nd 0.0000 0.0000 0.0000
Rh 0.1267 0.6244 0.6244
Rh 0.6244 0.1267 0.6244
Rh 0.6244 0.6244 0.1267
Rh 0.6244 0.6244 0.6244
Au 0.2500 0.2500 0.2500

Top 9 peaks for 2θ from 5° to 70°, by angle:
- 2θ = 20.50°, I = 2
- 2θ = 23.71°, I = 1
- 2θ = 33.79°, I = 44
- 2θ = 39.84°, I = 100
- 2θ = 41.70°, I = 26
- 2θ = 53.21°, I = 1
- 2θ = 54.70°, I = 1
- 2θ = 60.44°, I = 17
- 2θ = 64.53°, I = 32

---

Entry 8:
SrNdRhAu: calculated powder diffraction line list (λ = 1.5418 Å (Cu Kα)), based on a PBE-relaxed structure.
Intensities are scaled so that the largest is 100.

Cell lengths 4.3654, 4.0909, 11.6827 Å; angles 90.00, 90.00, 90.00 degrees
Fractional positions:
Sr 0.0000 0.0000 0.0000
Sr 0.0000 0.5000 0.5000
Nd 0.5000 0.0000 0.2821
Nd 0.5000 0.5000 0.7821
Rh 0.0000 0.0000 0.7339
Rh 0.0000 0.5000 0.2339
Au 0.5000 0.0000 0.5710
Au 0.5000 0.5000 0.0710

Top 12 peaks for 2θ from 5° to 70°, by angle:
- 2θ = 15.17°, I = 18
- 2θ = 23.04°, I = 18
- 2θ = 30.61°, I = 30
- 2θ = 30.92°, I = 100
- 2θ = 31.72°, I = 30
- 2θ = 37.03°, I = 38
- 2θ = 37.98°, I = 95
- 2θ = 41.37°, I = 30
- 2θ = 44.29°, I = 28
- 2θ = 59.06°, I = 20
- 2θ = 59.85°, I = 18
- 2θ = 62.20°, I = 18

---

Entry 9:
Nd7Ru2Au2: calculated powder diffraction line list (λ = 1.5418 Å (Cu Kα)), based on a PBE-relaxed structure.
Intensities are scaled so that the largest is 100.

Cell lengths 6.9201, 6.9201, 7.1256 Å; angles 90.00, 90.00, 109.53 degrees
Fractional positions:
Nd 0.0000 0.0000 0.0000
Nd 0.0000 0.5000 0.2611
Nd 0.0000 0.5000 0.7389
Nd 0.5000 0.0000 0.2611
Nd 0.5000 0.0000 0.7389
Nd 0.5000 0.5000 0.2507
Nd 0.5000 0.5000 0.7493
Ru 0.2982 0.7018 0.0000
Ru 0.7018 0.2982 0.0000
Au 0.1785 0.1785 0.5000
Au 0.8215 0.8215 0.5000

Top 12 peaks for 2θ from 5° to 70°, by angle:
- 2θ = 20.05°, I = 27
- 2θ = 25.57°, I = 43
- 2θ = 27.35°, I = 31
- 2θ = 28.55°, I = 47
- 2θ = 29.64°, I = 31
- 2θ = 31.66°, I = 67
- 2θ = 36.49°, I = 49
- 2θ = 37.38°, I = 100
- 2θ = 41.17°, I = 24
- 2θ = 43.52°, I = 27
- 2θ = 51.29°, I = 20
- 2θ = 61.54°, I = 19

---

Entry 10:
NdTlAuSe2: calculated powder diffraction line list (λ = 1.5418 Å (Cu Kα)), based on a PBE-relaxed structure.
Intensities are scaled so that the largest is 100.

Cell lengths 7.3244, 5.2984, 8.1538 Å; angles 90.00, 102.72, 90.00 degrees
Fractional positions:
Nd 0.0000 0.0030 0.2500
Nd 0.0000 0.9970 0.7500
Tl 0.5000 0.3248 0.7500
Tl 0.5000 0.6752 0.2500
Au 0.0000 0.5000 0.0000
Au 0.0000 0.5000 0.5000
Se 0.2631 0.1799 0.0505
Se 0.2631 0.8201 0.5505
Se 0.7369 0.1799 0.4495
Se 0.7369 0.8201 0.9495

Top 12 peaks for 2θ from 5° to 70°, by angle:
- 2θ = 12.39°, I = 24
- 2θ = 23.08°, I = 40
- 2θ = 24.96°, I = 100
- 2θ = 28.04°, I = 22
- 2θ = 28.64°, I = 65
- 2θ = 30.19°, I = 30
- 2θ = 32.78°, I = 67
- 2θ = 34.29°, I = 25
- 2θ = 36.16°, I = 49
- 2θ = 43.26°, I = 29
- 2θ = 45.62°, I = 30
- 2θ = 57.06°, I = 35

---

Entry 11:
Nd5Si2Au: calculated powder diffraction line list (λ = 1.5418 Å (Cu Kα)), based on a PBE-relaxed structure.
Intensities are scaled so that the largest is 100.

Cell lengths 9.2142, 9.2142, 9.2142 Å; angles 130.73, 130.73, 72.24 degrees
Fractional positions:
Nd 0.0000 0.0000 0.0000
Nd 0.0334 0.5334 0.8507
Nd 0.1827 0.0334 0.5000
Nd 0.3173 0.8173 0.8507
Nd 0.4666 0.3173 0.5000
Nd 0.5000 0.5000 0.0000
Nd 0.5334 0.6827 0.5000
Nd 0.6827 0.1827 0.1493
Nd 0.8173 0.9666 0.5000
Nd 0.9666 0.4666 0.1493
Si 0.1152 0.3848 0.5000
Si 0.3848 0.8848 0.2696
Si 0.6152 0.1152 0.7304
Si 0.8848 0.6152 0.5000
Au 0.2500 0.2500 0.0000
Au 0.7500 0.7500 0.0000

Top 12 peaks for 2θ from 5° to 70°, by angle:
- 2θ = 16.32°, I = 23
- 2θ = 26.63°, I = 41
- 2θ = 29.09°, I = 58
- 2θ = 31.68°, I = 89
- 2θ = 32.98°, I = 36
- 2θ = 33.53°, I = 100
- 2θ = 37.01°, I = 68
- 2θ = 50.47°, I = 23
- 2θ = 52.46°, I = 24
- 2θ = 56.52°, I = 36
- 2θ = 62.92°, I = 22
- 2θ = 67.02°, I = 19

---

Entry 12:
NdSmAu: calculated powder diffraction line list (λ = 1.5418 Å (Cu Kα)), based on a PBE-relaxed structure.
Intensities are scaled so that the largest is 100.

Cell lengths 7.8138, 7.8138, 4.9295 Å; angles 90.00, 90.00, 120.00 degrees
Fractional positions:
Nd 0.0000 0.7367 0.0000
Nd 0.2633 0.2633 0.0000
Nd 0.7367 0.0000 0.0000
Sm 0.0000 0.4057 0.5000
Sm 0.4057 0.0000 0.5000
Sm 0.5943 0.5943 0.5000
Au 0.0000 0.0000 0.5000
Au 0.3333 0.6667 0.0000
Au 0.6667 0.3333 0.0000

Top 12 peaks for 2θ from 5° to 70°, by angle:
- 2θ = 22.31°, I = 12
- 2θ = 29.17°, I = 87
- 2θ = 32.09°, I = 100
- 2θ = 35.09°, I = 29
- 2θ = 36.45°, I = 41
- 2θ = 39.70°, I = 41
- 2θ = 39.97°, I = 45
- 2θ = 51.49°, I = 20
- 2θ = 55.20°, I = 36
- 2θ = 61.19°, I = 11
- 2θ = 62.75°, I = 34
- 2θ = 62.90°, I = 23